(1)
Starting from a cell relaxed with PBE, the PXRD pattern of Zr2N2O was simulated for Cu Kα (λ = 1.5418 Å).

Peak list (12 most intense, 2θ = 10–90°, by angle)
- (2 0 -4), 3.038 Å, I 30
- (4 0 0), 2.881 Å, I 31
- (1 1 2), 2.688 Å, I 100
- (3 1 2), 2.092 Å, I 17
- (6 0 -4), 2.089 Å, I 12
- (0 2 0), 1.754 Å, I 33
- (4 0 4), 1.625 Å, I 15
- (7 1 -2), 1.622 Å, I 15
- (1 1 6), 1.500 Å, I 8
- (4 2 0), 1.497 Å, I 17
- (2 0 -8), 1.469 Å, I 9
- (2 2 -8), 1.127 Å, I 7

Cell and atoms:
```
data_Zr2N2O
_chemical_formula_sum 'Zr16 N16 O8'
_cell_length_a 13.017
_cell_length_b 3.506
_cell_length_c 12.159
_cell_angle_alpha 90.00
_cell_angle_beta 117.70
_cell_angle_gamma 90.00
_space_group_name_H-M_alt 'C 1 m 1'
_space_group_IT_number 8
_space_group_name_Hall 'C -2y'
loop_
_atom_site_label
_atom_site_type_symbol
_atom_site_fract_x
_atom_site_fract_y
_atom_site_fract_z
_atom_site_occupancy
Zr1 Zr 0.000 0.000 0.000 1
Zr2 Zr 0.000 0.500 0.244 1
Zr3 Zr 0.242 0.000 0.281 1
Zr4 Zr 0.246 0.500 0.026 1
Zr5 Zr 0.247 0.000 0.788 1
Zr6 Zr 0.255 0.500 0.538 1
Zr7 Zr 0.492 0.000 0.738 1
Zr8 Zr 0.498 0.500 0.484 1
N1 N 0.126 0.500 0.141 1
N2 N 0.127 0.000 0.892 1
N3 N 0.129 0.000 0.388 1
N4 N 0.301 0.000 0.649 1
N5 N 0.305 0.500 0.891 1
N6 N 0.439 0.000 0.379 1
N7 N 0.441 0.500 0.132 1
N8 N 0.448 0.500 0.628 1
O1 O 0.123 0.500 0.636 1
O2 O 0.299 0.000 0.142 1
O3 O 0.301 0.500 0.392 1
O4 O 0.449 0.000 0.887 1
```



(2)
Starting from a cell relaxed with PBE, the PXRD pattern of RbZn4B3O9 was simulated for Cu Kα (λ = 1.5418 Å).

Peak list (12 most intense, 2θ = 10–90°, by angle)
- (0 1 1), 4.712 Å, I 37
- (2 0 -2), 3.137 Å, I 84
- (1 1 -3), 3.014 Å, I 84
- (2 0 2), 2.999 Å, I 52
- (1 0 -4), 2.989 Å, I 69
- (1 1 3), 2.920 Å, I 100
- (2 1 -1), 2.829 Å, I 64
- (0 2 0), 2.531 Å, I 45
- (1 1 4), 2.496 Å, I 58
- (0 0 6), 2.151 Å, I 33
- (3 1 -5), 1.675 Å, I 42
- (2 0 8), 1.434 Å, I 37

Cell and atoms:
```
data_RbZn4B3O9
_chemical_formula_sum 'Rb2 Zn8 B6 O18'
_cell_length_a 6.980
_cell_length_b 5.062
_cell_length_c 12.920
_cell_angle_alpha 90.00
_cell_angle_beta 93.08
_cell_angle_gamma 90.00
_space_group_name_H-M_alt 'P 1 2/c 1'
_space_group_IT_number 13
_space_group_name_Hall '-P 2yc'
loop_
_atom_site_label
_atom_site_type_symbol
_atom_site_fract_x
_atom_site_fract_y
_atom_site_fract_z
_atom_site_occupancy
Rb1 Rb 0.000 0.224 0.250 1
Zn1 Zn 0.209 0.333 0.561 1
Zn2 Zn 0.488 0.150 0.125 1
B1 B 0.190 0.155 0.954 1
B2 B 0.500 0.345 0.750 1
O1 O 0.043 0.252 0.893 1
O2 O 0.263 0.103 0.438 1
O3 O 0.275 0.297 0.037 1
O4 O 0.406 0.208 0.670 1
O5 O 0.500 0.379 0.250 1
```



(3)
Starting from a cell relaxed with PBE, the PXRD pattern of Mg2In3WS8 was simulated for Cu Kα (λ = 1.5418 Å).

Peak list (12 most intense, 2θ = 10–90°, by angle)
- (1 0 -1), 6.130 Å, I 100
- (1 0 1), 3.239 Å, I 28
- (1 1 0), 3.211 Å, I 53
- (2 0 -1), 3.196 Å, I 11
- (2 0 -2), 3.065 Å, I 16
- (2 0 0), 2.665 Å, I 84
- (2 1 -2), 2.432 Å, I 12
- (1 2 -3), 2.052 Å, I 15
- (-3 2 3), 2.047 Å, I 13
- (0 2 2), 1.897 Å, I 25
- (2 0 -4), 1.893 Å, I 13
- (2 2 -2), 1.873 Å, I 36

Cell and atoms:
```
data_Mg2In3WS8
_chemical_formula_sum 'Mg2 In3 W1 S8'
_cell_length_a 7.487
_cell_length_b 7.492
_cell_length_c 7.575
_cell_angle_alpha 90.07
_cell_angle_beta 119.49
_cell_angle_gamma 119.92
_space_group_name_H-M_alt 'P 1'
_space_group_IT_number 1
_space_group_name_Hall 'P 1'
loop_
_atom_site_label
_atom_site_type_symbol
_atom_site_fract_x
_atom_site_fract_y
_atom_site_fract_z
_atom_site_occupancy
Mg1 Mg 0.000 0.000 0.000 1
Mg2 Mg 0.495 0.748 0.244 1
In1 In 0.248 0.374 0.622 1
In2 In 0.248 0.874 0.622 1
In3 In 0.747 0.374 0.622 1
W1 W 0.747 0.374 0.122 1
S1 S 0.212 0.607 0.363 1
S2 S 0.235 0.617 0.853 1
S3 S 0.260 0.130 0.391 1
S4 S 0.283 0.142 0.881 1
S5 S 0.740 0.142 0.882 1
S6 S 0.740 0.599 0.882 1
S7 S 0.756 0.150 0.362 1
S8 S 0.756 0.606 0.362 1
```



(4)
Starting from a cell relaxed with PBE, the PXRD pattern of Rb2Al2B2O7 was simulated for Cu Kα (λ = 1.5418 Å).

Peak list (12 most intense, 2θ = 10–90°, by angle)
- (2 1 -2), 3.546 Å, I 85
- (1 2 -1), 3.457 Å, I 64
- (1 2 1), 3.276 Å, I 100
- (2 0 2), 3.154 Å, I 33
- (0 0 4), 2.928 Å, I 57
- (2 1 2), 2.917 Å, I 42
- (3 1 -1), 2.797 Å, I 55
- (2 0 -4), 2.763 Å, I 37
- (1 2 -3), 2.747 Å, I 59
- (1 3 -1), 2.435 Å, I 28
- (3 2 1), 2.196 Å, I 29
- (4 0 0), 2.188 Å, I 29

Cell and atoms:
```
data_Rb2Al2B2O7
_chemical_formula_sum 'Rb8 Al8 B8 O28'
_cell_length_a 9.010
_cell_length_b 7.667
_cell_length_c 12.076
_cell_angle_alpha 90.00
_cell_angle_beta 104.06
_cell_angle_gamma 90.00
_space_group_name_H-M_alt 'P 1 21/c 1'
_space_group_IT_number 14
_space_group_name_Hall '-P 2ybc'
loop_
_atom_site_label
_atom_site_type_symbol
_atom_site_fract_x
_atom_site_fract_y
_atom_site_fract_z
_atom_site_occupancy
Rb1 Rb 0.035 0.140 0.128 1
Rb2 Rb 0.457 0.633 0.853 1
Al1 Al 0.185 0.583 0.134 1
Al2 Al 0.342 0.123 0.878 1
B1 B 0.156 0.089 0.412 1
B2 B 0.319 0.616 0.562 1
O1 O 0.006 0.042 0.361 1
O2 O 0.203 0.692 0.604 1
O3 O 0.229 0.039 0.521 1
O4 O 0.237 0.180 0.347 1
O5 O 0.282 0.031 0.995 1
O6 O 0.308 0.519 0.262 1
O7 O 0.463 0.688 0.589 1
```



(5)
Starting from a cell relaxed with PBE, the PXRD pattern of K2HgBiCl6 was simulated for Cu Kα (λ = 1.5418 Å).

Peak list (12 most intense, 2θ = 10–90°, by angle)
- (2 0 0), 5.571 Å, I 100
- (2 2 0), 3.939 Å, I 98
- (4 0 0), 2.785 Å, I 59
- (4 2 0), 2.491 Å, I 55
- (4 2 2), 2.274 Å, I 47
- (4 4 0), 1.970 Å, I 42
- (6 0 0), 1.857 Å, I 29
- (6 2 0), 1.762 Å, I 22
- (6 4 2), 1.489 Å, I 26
- (6 4 4), 1.351 Å, I 17
- (8 4 0), 1.246 Å, I 18
- (10 2 0), 1.093 Å, I 15

Cell and atoms:
```
data_K2HgBiCl6
_chemical_formula_sum 'K8 Hg4 Bi4 Cl24'
_cell_length_a 11.142
_cell_length_b 11.142
_cell_length_c 11.142
_cell_angle_alpha 90.00
_cell_angle_beta 90.00
_cell_angle_gamma 90.00
_space_group_name_H-M_alt 'F m -3 m'
_space_group_IT_number 225
_space_group_name_Hall '-F 4 2 3'
loop_
_atom_site_label
_atom_site_type_symbol
_atom_site_fract_x
_atom_site_fract_y
_atom_site_fract_z
_atom_site_occupancy
K1 K 0.250 0.250 0.250 1
Hg1 Hg 0.000 0.000 0.000 1
Bi1 Bi 0.000 0.000 0.500 1
Cl1 Cl 0.000 0.000 0.256 1
```